# 1
Starting from the PBE+U geometry in the Materials Project, the X-ray diffraction stick pattern of TmMn4Cu3O12 was simulated for Cu Kα (weighted mean of Kα1 and Kα2).
Kinematic intensities with the Lorentz-polarization factor, no thermal factor.

Structure:
a b c (Å): 7.394 7.394 7.394
angles (deg): 90.00 90.00 90.00
Space group Im-3 (No. 204)
Symmetry-distinct sites (fractional):
Tm (0.000, 0.000, 0.000)
Mn (0.250, 0.250, 0.250)
Cu (0.000, 0.000, 0.500)
O (0.000, 0.301, 0.169)

Largest 6 diffraction maxima, in order of rising 2θ, 2θ = 10–80°:
- hkl 1 1 0, 16.96°, d = 5.228 Å, I = 19
- hkl 2 2 0, 34.30°, d = 2.614 Å, I = 100
- hkl 3 1 2, 45.93°, d = 1.976 Å, I = 12
- hkl 4 0 0, 49.30°, d = 1.848 Å, I = 25
- hkl 4 2 2, 61.43°, d = 1.509 Å, I = 47
- hkl 4 4 0, 72.29°, d = 1.307 Å, I = 12

=====

# 2
Starting from the PBE+U geometry in the Materials Project, the X-ray diffraction stick pattern of MnV4CuO12 was simulated for Cu Kα (weighted mean of Kα1 and Kα2).
Kinematic intensities with the Lorentz-polarization factor, no thermal factor.

Structure:
a b c (Å): 10.128 9.165 6.037
angles (deg): 90.00 108.30 90.00
Space group C2 (No. 5)
Symmetry-distinct sites (fractional):
Mn (0.000, 0.000, 0.000)
V (0.198, 0.328, 0.979)
V (0.201, 0.505, 0.485)
Cu (0.000, 0.828, 0.500)
O (0.119, 0.992, 0.405)
O (0.125, 0.835, 0.927)
O (0.139, 0.413, 0.695)
O (0.142, 0.152, 0.962)
O (0.144, 0.421, 0.201)
O (0.144, 0.680, 0.467)

Largest 6 diffraction maxima, in order of rising 2θ, 2θ = 10–80°:
- hkl 1 1 -1, 18.13°, d = 4.893 Å, I = 39
- hkl 0 2 0, 19.37°, d = 4.583 Å, I = 52
- hkl 1 1 1, 22.59°, d = 3.936 Å, I = 36
- hkl 2 2 -1, 28.01°, d = 3.186 Å, I = 100
- hkl 3 1 0, 29.52°, d = 3.026 Å, I = 70
- hkl 0 0 2, 31.21°, d = 2.866 Å, I = 63

=====

# 3
Starting from the PBE+U geometry in the Materials Project, the X-ray diffraction stick pattern of YMn4Cu3O12 was simulated for Cu Kα (weighted mean of Kα1 and Kα2).
Kinematic intensities with the Lorentz-polarization factor, no thermal factor.

Structure:
a b c (Å): 7.312 7.449 7.493
angles (deg): 90.00 90.00 90.00
Space group Pmmm (No. 47)
Symmetry-distinct sites (fractional):
Y (0.000, 0.000, 0.000)
Y (0.500, 0.500, 0.500)
Mn (0.249, 0.250, 0.250)
Cu (0.000, 0.000, 0.500)
Cu (0.000, 0.500, 0.000)
Cu (0.000, 0.500, 0.500)
Cu (0.500, 0.000, 0.000)
Cu (0.500, 0.000, 0.500)
Cu (0.500, 0.500, 0.000)
O (0.000, 0.171, 0.296)
O (0.172, 0.307, 0.000)
O (0.197, 0.500, 0.333)
O (0.303, 0.000, 0.167)
O (0.328, 0.194, 0.500)
O (0.500, 0.331, 0.200)

Largest 6 diffraction maxima, in order of rising 2θ, 2θ = 10–80°:
- hkl 0 2 2, 33.94°, d = 2.641 Å, I = 100
- hkl 2 0 2, 34.27°, d = 2.616 Å, I = 93
- hkl 2 2 0, 34.37°, d = 2.609 Å, I = 94
- hkl 2 2 4, 60.88°, d = 1.522 Å, I = 47
- hkl 2 4 2, 61.08°, d = 1.517 Å, I = 47
- hkl 4 2 2, 61.71°, d = 1.503 Å, I = 45

=====

# 4
Starting from the PBE+U geometry in the Materials Project, the X-ray diffraction stick pattern of YMn4Cu3O12 was simulated for Cu Kα (weighted mean of Kα1 and Kα2).
Kinematic intensities with the Lorentz-polarization factor, no thermal factor.

Structure:
a b c (Å): 10.504 7.387 10.473
angles (deg): 90.00 91.06 90.00
Space group Cm (No. 8)
Symmetry-distinct sites (fractional):
Y (0.000, 0.000, 0.000)
Y (0.001, 0.500, 0.498)
Mn (0.003, 0.250, 0.750)
Mn (0.250, 0.251, 0.499)
Mn (0.251, 0.251, 0.999)
Mn (0.498, 0.250, 0.248)
Cu (0.000, 0.000, 0.499)
Cu (0.001, 0.500, 0.999)
Cu (0.249, 0.000, 0.249)
Cu (0.249, 0.500, 0.248)
Cu (0.252, 0.000, 0.749)
Cu (0.252, 0.500, 0.748)
O (0.060, 0.500, 0.264)
O (0.069, 0.000, 0.761)
O (0.083, 0.198, 0.413)
O (0.087, 0.295, 0.915)
O (0.153, 0.171, 0.151)
O (0.154, 0.329, 0.652)
O (0.234, 0.500, 0.436)
O (0.241, 0.000, 0.934)
O (0.264, 0.000, 0.565)
O (0.264, 0.500, 0.060)
O (0.346, 0.171, 0.347)
O (0.350, 0.329, 0.845)
O (0.415, 0.204, 0.083)
O (0.418, 0.302, 0.584)
O (0.436, 0.000, 0.736)
O (0.437, 0.500, 0.235)

Largest 6 diffraction maxima, in order of rising 2θ, 2θ = 10–80°:
- hkl 4 0 0, 34.12°, d = 2.628 Å, I = 100
- hkl 0 0 4, 34.25°, d = 2.618 Å, I = 33
- hkl 2 2 2, 34.43°, d = 2.605 Å, I = 64
- hkl 4 0 -4, 48.66°, d = 1.871 Å, I = 18
- hkl 0 4 0, 49.34°, d = 1.847 Å, I = 17
- hkl 4 4 0, 61.41°, d = 1.510 Å, I = 31

=====

# 5
Starting from the PBE+U geometry in the Materials Project, the X-ray diffraction stick pattern of Mn4ZnCu3O12 was simulated for Cu Kα (weighted mean of Kα1 and Kα2).
Kinematic intensities with the Lorentz-polarization factor, no thermal factor.

Structure:
a b c (Å): 6.348 6.362 6.396
angles (deg): 107.27 109.89 110.98
Space group P-1 (No. 2)
Symmetry-distinct sites (fractional):
Mn (0.000, 0.000, 0.000)
Mn (0.000, 0.500, 0.500)
Mn (0.500, 0.000, 0.500)
Mn (0.500, 0.500, 0.000)
Zn (0.000, 0.000, 0.500)
Cu (0.000, 0.500, 0.000)
Cu (0.500, 0.000, 0.000)
Cu (0.500, 0.500, 0.500)
O (0.139, 0.322, 0.349)
O (0.174, 0.493, 0.814)
O (0.180, 0.861, 0.190)
O (0.299, 0.836, 0.635)
O (0.307, 0.176, 0.983)
O (0.475, 0.296, 0.659)

Largest 6 diffraction maxima, in order of rising 2θ, 2θ = 10–80°:
- hkl 0 0 2, 33.91°, d = 2.643 Å, I = 55
- hkl 0 2 0, 34.31°, d = 2.614 Å, I = 100
- hkl 2 0 -2, 34.43°, d = 2.605 Å, I = 49
- hkl 0 2 -2, 34.96°, d = 2.567 Å, I = 92
- hkl -2 2 2, 48.12°, d = 1.891 Å, I = 26
- hkl 2 -2 2, 49.83°, d = 1.830 Å, I = 25

=====

# 6
Starting from the PBE+U geometry in the Materials Project, the X-ray diffraction stick pattern of Mn4ZnCu3O12 was simulated for Cu Kα (weighted mean of Kα1 and Kα2).
Kinematic intensities with the Lorentz-polarization factor, no thermal factor.

Structure:
a b c (Å): 7.359 7.359 7.359
angles (deg): 90.00 90.00 90.00
Space group Im-3 (No. 204)
Symmetry-distinct sites (fractional):
Mn (0.250, 0.250, 0.250)
Zn (0.000, 0.000, 0.000)
Cu (0.000, 0.000, 0.500)
O (0.000, 0.309, 0.170)

Largest 6 diffraction maxima, in order of rising 2θ, 2θ = 10–80°:
- hkl 2 2 0, 34.47°, d = 2.602 Å, I = 100
- hkl 3 0 1, 38.69°, d = 2.327 Å, I = 6
- hkl 3 1 2, 46.15°, d = 1.967 Å, I = 3
- hkl 4 0 0, 49.55°, d = 1.840 Å, I = 25
- hkl 4 2 2, 61.75°, d = 1.502 Å, I = 48
- hkl 4 4 0, 72.68°, d = 1.301 Å, I = 11

=====

# 7
Starting from the PBE+U geometry in the Materials Project, the X-ray diffraction stick pattern of Na3Cu2Mo3O12 was simulated for Cu Kα (weighted mean of Kα1 and Kα2).
Kinematic intensities with the Lorentz-polarization factor, no thermal factor.

Structure:
a b c (Å): 12.329 14.359 7.025
angles (deg): 90.00 112.02 90.00
Space group C2/c (No. 15)
Symmetry-distinct sites (fractional):
Na (0.000, 0.000, 0.000)
Na (0.000, 0.233, 0.250)
Na (0.000, 0.481, 0.750)
Cu (0.212, 0.339, 0.120)
Mo (0.000, 0.219, 0.750)
Mo (0.228, 0.396, 0.619)
O (0.045, 0.292, 0.978)
O (0.114, 0.141, 0.745)
O (0.120, 0.079, 0.311)
O (0.144, 0.498, 0.086)
O (0.175, 0.333, 0.379)
O (0.211, 0.331, 0.828)

Largest 6 diffraction maxima, in order of rising 2θ, 2θ = 10–80°:
- hkl 2 0 0, 15.51°, d = 5.715 Å, I = 29
- hkl 1 3 -1, 22.64°, d = 3.928 Å, I = 32
- hkl 1 1 -2, 26.24°, d = 3.397 Å, I = 42
- hkl 0 4 1, 28.39°, d = 3.144 Å, I = 30
- hkl 2 4 0, 29.36°, d = 3.042 Å, I = 100
- hkl 1 3 -2, 31.69°, d = 2.823 Å, I = 29

=====

# 8
Starting from the PBE+U geometry in the Materials Project, the X-ray diffraction stick pattern of NaCuMoO5 was simulated for Cu Kα (weighted mean of Kα1 and Kα2).
Kinematic intensities with the Lorentz-polarization factor, no thermal factor.

Structure:
a b c (Å): 7.874 5.794 9.758
angles (deg): 90.00 90.00 90.00
Space group Pnma (No. 62)
Symmetry-distinct sites (fractional):
Na (0.128, 0.250, 0.194)
Cu (0.000, 0.000, 0.500)
Mo (0.135, 0.250, 0.840)
O (0.040, 0.750, 0.049)
O (0.119, 0.002, 0.733)
O (0.120, 0.250, 0.443)
O (0.162, 0.750, 0.448)

Largest 6 diffraction maxima, in order of rising 2θ, 2θ = 10–80°:
- hkl 0 1 1, 17.80°, d = 4.982 Å, I = 75
- hkl 2 1 0, 27.39°, d = 3.256 Å, I = 83
- hkl 1 0 3, 29.72°, d = 3.006 Å, I = 100
- hkl 1 1 3, 33.58°, d = 2.668 Å, I = 56
- hkl 1 2 1, 34.24°, d = 2.619 Å, I = 80
- hkl 3 2 3, 55.01°, d = 1.669 Å, I = 60